[1]
Theoretical PXRD pattern of PrGa6Ni3 for Cu Ka, from a crystal structure in Alexandria, relaxed with PBE.

Atomic structure:
```
PrGa6Ni3
1.0
9.015 0.000 0.000
0.000 4.043 0.000
-1.524 0.000 9.220
Pr Ga Ni
2 12 6
Cartesian
1.878 1.011 0.788 Pr
5.613 3.032 8.431 Pr
-0.490 3.032 7.613 Ga
0.137 1.011 4.193 Ga
1.135 1.011 6.648 Ga
2.218 3.032 3.272 Ga
3.017 3.032 6.037 Ga
4.214 3.032 1.042 Ga
3.276 1.011 8.178 Ga
4.473 1.011 3.183 Ga
5.272 1.011 5.947 Ga
6.355 3.032 2.571 Ga
7.353 3.032 5.027 Ga
7.980 1.011 1.607 Ga
-0.198 3.032 2.747 Ni
1.858 3.032 8.040 Ni
2.624 1.011 4.611 Ni
4.867 3.032 4.609 Ni
5.632 1.011 1.180 Ni
7.688 1.011 6.473 Ni
```

Peak list (6 most intense, 2θ = 10–80°, by angle)
32.13 deg, intensity 66; 33.88 deg, intensity 78; 36.76 deg, intensity 58; 37.61 deg, intensity 83; 44.83 deg, intensity 100; 44.96 deg, intensity 90

=====

[2]
Theoretical PXRD pattern of Pr2GaNi4 for Cu Ka, from a crystal structure in Alexandria, relaxed with PBE.

Atomic structure:
```
Pr2GaNi4
1.0
0.000 4.185 4.268
3.813 0.000 4.268
3.813 4.185 0.000
Pr Ga Ni
2 1 4
Cartesian
1.906 2.092 2.134 Pr
5.719 6.277 6.402 Pr
0.000 0.000 0.000 Ga
3.813 4.185 2.328 Ni
5.157 4.185 4.268 Ni
2.469 4.185 4.268 Ni
3.813 4.185 6.208 Ni
```

Peak list (6 most intense, 2θ = 10–80°, by angle)
29.90 deg, intensity 75; 31.75 deg, intensity 82; 38.27 deg, intensity 100; 42.36 deg, intensity 39; 43.24 deg, intensity 39; 53.89 deg, intensity 32

=====

[3]
Theoretical PXRD pattern of Pr2Ga5Ni4 for Cu Ka, from a crystal structure in Alexandria, relaxed with PBE.

Atomic structure:
```
Pr2Ga5Ni4
1.0
0.000 4.630 7.638
2.685 0.000 7.638
2.685 4.630 0.000
Pr Ga Ni
2 5 4
Cartesian
2.685 4.630 2.048 Pr
2.685 4.630 13.227 Pr
1.342 2.315 0.000 Ga
1.342 2.315 3.819 Ga
1.342 2.315 7.638 Ga
2.685 4.630 7.638 Ga
4.027 6.944 11.456 Ga
2.685 3.190 5.640 Ni
2.685 3.190 9.635 Ni
2.685 6.069 5.640 Ni
2.685 6.069 9.635 Ni
```

Peak list (6 most intense, 2θ = 10–80°, by angle)
25.97 deg, intensity 39; 30.34 deg, intensity 58; 34.01 deg, intensity 45; 37.99 deg, intensity 100; 38.77 deg, intensity 57; 41.10 deg, intensity 90

=====

[4]
Theoretical PXRD pattern of PrGa6Ni6 for Cu Ka, from a crystal structure in Alexandria, relaxed with PBE.

Atomic structure:
```
PrGa6Ni6
1.0
-2.520 4.192 4.378
2.520 -4.192 4.378
2.520 4.192 -4.378
Pr Ga Ni
1 6 6
Cartesian
0.000 0.000 0.000 Pr
2.520 0.000 1.683 Ga
0.000 2.891 0.000 Ga
0.000 0.000 3.044 Ga
0.000 0.000 5.713 Ga
0.000 5.492 0.000 Ga
0.000 4.192 2.695 Ga
1.260 2.096 -2.189 Ni
1.260 -2.096 2.189 Ni
2.520 2.011 0.000 Ni
-1.260 2.096 2.189 Ni
1.260 2.096 2.189 Ni
0.000 2.181 4.378 Ni
```

Peak list (6 most intense, 2θ = 10–80°, by angle)
35.57 deg, intensity 61; 41.34 deg, intensity 38; 41.78 deg, intensity 100; 42.35 deg, intensity 36; 43.16 deg, intensity 31; 46.89 deg, intensity 55

=====

[5]
Theoretical PXRD pattern of PrGa4Ni3 for Cu Ka, from a crystal structure in Alexandria, relaxed with PBE.

Atomic structure:
```
PrGa4Ni3
1.0
4.127 0.000 0.000
0.000 4.127 0.000
0.000 0.000 7.818
Pr Ga Ni
1 4 3
Cartesian
0.000 0.000 0.000 Pr
0.000 2.064 2.539 Ga
0.000 2.064 5.278 Ga
2.064 0.000 2.539 Ga
2.064 0.000 5.278 Ga
0.000 0.000 3.909 Ni
2.064 2.064 1.183 Ni
2.064 2.064 6.635 Ni
```

Peak list (6 most intense, 2θ = 10–80°, by angle)
31.52 deg, intensity 79; 32.75 deg, intensity 93; 38.49 deg, intensity 84; 43.87 deg, intensity 100; 46.73 deg, intensity 47; 55.02 deg, intensity 31

=====

[6]
Theoretical PXRD pattern of Pr3Ga5Ni6 for Cu Ka, from a crystal structure in Alexandria, relaxed with PBE.

Atomic structure:
```
Pr3Ga5Ni6
1.0
4.112 0.000 0.000
0.000 12.319 0.000
0.000 0.000 9.759
Pr Ga Ni
6 10 12
Cartesian
1.028 1.064 2.416 Pr
1.028 5.096 2.416 Pr
1.028 9.240 2.484 Pr
3.084 3.080 7.275 Pr
3.084 7.224 7.343 Pr
3.084 11.255 7.343 Pr
1.028 0.980 6.255 Ga
1.028 5.179 6.255 Ga
1.028 7.747 9.635 Ga
1.028 9.240 5.986 Ga
1.028 10.732 9.635 Ga
3.084 1.588 0.124 Ga
3.084 3.080 3.774 Ga
3.084 4.572 0.124 Ga
3.084 7.140 3.505 Ga
3.084 11.339 3.505 Ga
1.028 0.693 8.791 Ni
1.028 3.080 4.985 Ni
1.028 3.080 9.618 Ni
1.028 5.467 8.791 Ni
1.028 7.125 4.801 Ni
1.028 11.354 4.801 Ni
3.084 0.965 4.958 Ni
3.084 5.195 4.958 Ni
3.084 6.853 0.969 Ni
3.084 9.240 0.141 Ni
3.084 9.240 4.775 Ni
3.084 11.626 0.969 Ni
```

Peak list (6 most intense, 2θ = 10–80°, by angle)
30.77 deg, intensity 21; 35.18 deg, intensity 85; 35.97 deg, intensity 100; 44.07 deg, intensity 56; 51.86 deg, intensity 21; 57.61 deg, intensity 34

=====

[7]
Theoretical PXRD pattern of PrGa2Ni3 for Cu Ka, from a crystal structure in Alexandria, relaxed with PBE.

Atomic structure:
```
PrGa2Ni3
1.0
8.937 0.000 0.000
-4.468 7.739 0.000
0.000 0.000 4.143
Pr Ga Ni
3 6 9
Cartesian
0.000 0.000 0.000 Pr
0.000 5.160 2.071 Pr
4.468 2.580 2.071 Pr
-1.223 2.118 2.071 Ga
-2.360 4.088 0.000 Ga
2.445 0.000 2.071 Ga
2.108 3.652 0.000 Ga
4.720 0.000 0.000 Ga
3.246 5.622 2.071 Ga
-3.186 5.519 2.071 Ni
-0.170 2.900 0.000 Ni
-1.872 6.437 0.000 Ni
1.282 2.220 2.071 Ni
2.596 1.303 0.000 Ni
2.042 6.142 0.000 Ni
6.373 0.000 2.071 Ni
4.298 4.840 0.000 Ni
6.510 1.597 0.000 Ni
```

Peak list (6 most intense, 2θ = 10–80°, by angle)
31.64 deg, intensity 70; 34.77 deg, intensity 40; 37.64 deg, intensity 100; 40.37 deg, intensity 55; 41.22 deg, intensity 68; 43.70 deg, intensity 53

=====

[8]
Theoretical PXRD pattern of Pr2Ga3Ni for Cu Ka, from a crystal structure in Alexandria, relaxed with PBE.

Atomic structure:
```
Pr2Ga3Ni
1.0
5.262 -2.249 0.000
5.262 2.249 0.000
-5.223 0.000 5.384
Pr Ga Ni
2 3 1
Cartesian
0.000 0.000 0.000 Pr
-2.117 0.000 3.194 Pr
2.944 0.000 1.081 Ga
2.124 0.000 5.280 Ga
5.439 0.000 2.198 Ga
1.020 0.000 3.021 Ni
```

Peak list (6 most intense, 2θ = 10–80°, by angle)
33.07 deg, intensity 100; 33.28 deg, intensity 23; 33.46 deg, intensity 90; 34.08 deg, intensity 25; 40.09 deg, intensity 44; 41.08 deg, intensity 54

=====

[9]
Theoretical PXRD pattern of Pr2Ga5Ni5 for Cu Ka, from a crystal structure in Alexandria, relaxed with PBE.

Atomic structure:
```
Pr2Ga5Ni5
1.0
4.055 0.000 0.000
0.000 5.306 0.000
0.000 0.000 9.033
Pr Ga Ni
2 5 5
Cartesian
0.000 0.000 0.000 Pr
0.000 2.653 4.516 Pr
2.028 0.000 4.516 Ga
2.028 1.333 2.138 Ga
2.028 1.333 6.895 Ga
2.028 3.973 2.138 Ga
2.028 3.973 6.895 Ga
0.000 0.000 3.027 Ni
0.000 0.000 6.006 Ni
0.000 2.653 1.529 Ni
0.000 2.653 7.504 Ni
2.028 2.653 0.000 Ni
```

Peak list (6 most intense, 2θ = 10–80°, by angle)
29.43 deg, intensity 45; 34.24 deg, intensity 29; 39.39 deg, intensity 41; 40.64 deg, intensity 54; 41.03 deg, intensity 100; 44.69 deg, intensity 40

=====

[10]
Theoretical PXRD pattern of Pr2Ga3Ni4 for Cu Ka, from a crystal structure in Alexandria, relaxed with PBE.

Atomic structure:
```
Pr2Ga3Ni4
1.0
2.796 -7.705 0.000
2.796 7.705 0.000
0.000 0.000 7.058
Pr Ga Ni
4 6 8
Cartesian
2.796 6.057 6.460 Pr
2.796 1.649 2.931 Pr
2.796 -1.649 4.126 Pr
2.796 -6.057 0.597 Pr
0.000 0.000 3.529 Ga
1.398 3.584 5.293 Ga
1.398 -3.584 1.764 Ga
2.796 0.000 0.000 Ga
4.195 3.584 5.293 Ga
4.195 -3.584 1.764 Ga
2.796 5.048 3.578 Ni
1.398 1.093 5.293 Ni
1.398 -1.093 1.764 Ni
2.796 2.657 0.049 Ni
2.796 -2.657 7.009 Ni
4.195 1.093 5.293 Ni
4.195 -1.093 1.764 Ni
2.796 -5.048 3.480 Ni
```

Peak list (6 most intense, 2θ = 10–80°, by angle)
34.76 deg, intensity 34; 35.61 deg, intensity 100; 36.47 deg, intensity 46; 39.83 deg, intensity 26; 40.07 deg, intensity 41; 41.19 deg, intensity 81

=====

[11]
Theoretical PXRD pattern of Pr2Ga7Ni for Cu Ka, from a crystal structure in Alexandria, relaxed with PBE.

Atomic structure:
```
Pr2Ga7Ni
1.0
4.327 0.000 0.000
0.000 4.327 0.000
0.000 0.000 10.461
Pr Ga Ni
2 7 1
Cartesian
0.000 0.000 0.000 Pr
2.164 2.164 5.050 Pr
0.000 0.000 3.993 Ga
0.000 0.000 6.479 Ga
0.000 2.164 2.445 Ga
0.000 2.164 7.910 Ga
2.164 0.000 2.445 Ga
2.164 0.000 7.910 Ga
2.164 2.164 9.538 Ga
2.164 2.164 1.414 Ni
```

Peak list (6 most intense, 2θ = 10–80°, by angle)
32.99 deg, intensity 53; 33.94 deg, intensity 100; 41.75 deg, intensity 56; 48.32 deg, intensity 23; 54.21 deg, intensity 26; 71.23 deg, intensity 22

=====

[12]
Theoretical PXRD pattern of PrGaNi6 for Cu Ka, from a crystal structure in Alexandria, relaxed with PBE.

Atomic structure:
```
PrGaNi6
1.0
3.896 0.000 0.000
0.000 3.896 0.000
0.000 0.000 7.814
Pr Ga Ni
1 1 6
Cartesian
0.000 0.000 0.000 Pr
0.000 0.000 3.907 Ga
0.000 1.948 2.538 Ni
0.000 1.948 5.276 Ni
1.948 0.000 2.538 Ni
1.948 0.000 5.276 Ni
1.948 1.948 1.166 Ni
1.948 1.948 6.648 Ni
```

Peak list (6 most intense, 2θ = 10–80°, by angle)
32.45 deg, intensity 100; 34.51 deg, intensity 99; 40.04 deg, intensity 89; 46.62 deg, intensity 96; 48.07 deg, intensity 46; 57.93 deg, intensity 45

=====

[13]
Theoretical PXRD pattern of Pr2PuGa3Ni4 for Cu Ka, from a crystal structure in Alexandria, relaxed with PBE.

Atomic structure:
```
Pr2PuGa3Ni4
1.0
4.296 0.000 0.000
0.000 4.296 0.000
0.000 0.000 10.073
Pr Pu Ga Ni
2 1 3 4
Cartesian
0.000 2.148 2.311 Pr
2.148 0.000 7.761 Pr
0.000 0.000 5.036 Pu
0.000 2.148 8.924 Ga
2.148 0.000 1.149 Ga
2.148 2.148 5.036 Ga
0.000 0.000 0.000 Ni
0.000 2.148 6.521 Ni
2.148 0.000 3.552 Ni
2.148 2.148 0.000 Ni
```

Peak list (6 most intense, 2θ = 10–80°, by angle)
33.88 deg, intensity 42; 34.48 deg, intensity 100; 42.06 deg, intensity 54; 55.07 deg, intensity 21; 61.00 deg, intensity 18; 71.99 deg, intensity 23